Entry 1:
Diffraction record for H2Cl3F. The XRD peak list is computed, not measured: it uses a GGA-PBE-relaxed structure and Cu Kα (λ = 1.5418 Å).
Neutral-atom scattering factors, no anomalous dispersion.

Most intense lines, 15 to 90 degrees two-theta, sorted by position:
| hkl | 2theta | d (Å) | I/Imax |
| --- | --- | --- | --- |
| 1 1 0 | 21.2 | 4.188 | 84 |
| 1 1 -2 | 24.3 | 3.666 | 39 |
| 4 0 -2 | 27.7 | 3.221 | 100 |
| 2 0 2 | 28.1 | 3.180 | 86 |
| 2 0 -4 | 28.5 | 3.135 | 87 |
| 3 1 -2 | 29.0 | 3.077 | 49 |
| 1 1 2 | 29.3 | 3.052 | 58 |
| 2 2 0 | 43.2 | 2.092 | 32 |

```
data_H2Cl3F
_cell_length_a 12.886
_cell_length_b 4.519
_cell_length_c 12.542
_cell_angle_alpha 90.00
_cell_angle_beta 119.96
_cell_angle_gamma 90.00
_space_group_name_H-M_alt 'C 1 2/c 1'
_space_group_IT_number 15
_space_group_name_Hall '-C 2yc'
loop_
_atom_site_label
_atom_site_fract_x
_atom_site_fract_y
_atom_site_fract_z
H1 0.128 0.154 0.496
Cl1 0.000 0.160 0.250
Cl2 0.182 0.012 0.599
F1 0.000 0.204 0.750
```



Entry 2:
Diffraction record for Pr2ZnCuPd6. The XRD peak list is computed, not measured: it uses a GGA-PBE-relaxed structure and Cu Kα (λ = 1.5418 Å).
Neutral-atom scattering factors, no anomalous dispersion.

Most intense lines, 15 to 90 degrees two-theta, sorted by position:
| hkl | 2theta | d (Å) | I/Imax |
| --- | --- | --- | --- |
| 2 2 0 | 26.8 | 3.325 | 18 |
| 2 2 2 | 33.0 | 2.715 | 100 |
| 4 0 0 | 38.3 | 2.351 | 92 |
| 4 2 2 | 47.4 | 1.920 | 7 |
| 4 4 0 | 55.3 | 1.663 | 62 |
| 6 2 2 | 65.9 | 1.418 | 40 |
| 4 4 4 | 69.2 | 1.357 | 21 |
| 8 0 0 | 82.0 | 1.176 | 10 |

```
data_Pr2ZnCuPd6
_cell_length_a 9.405
_cell_length_b 9.405
_cell_length_c 9.405
_cell_angle_alpha 90.00
_cell_angle_beta 90.00
_cell_angle_gamma 90.00
_space_group_name_H-M_alt 'F m -3 m'
_space_group_IT_number 225
_space_group_name_Hall '-F 4 2 3'
loop_
_atom_site_label
_atom_site_fract_x
_atom_site_fract_y
_atom_site_fract_z
Pr1 0.250 0.250 0.250
Zn1 0.000 0.000 0.000
Cu1 0.000 0.000 0.500
Pd1 0.000 0.000 0.250
```